The following is a computed powder XRD pattern of HfFeF5. It was derived from DFT lattice parameters and positions (PBE+U), using Cu Kα (weighted mean of Kα1 and Kα2).

The 10 most intense peaks (5° ≤ 2θ ≤ 70°), by intensity:
Position (°2θ)	intensity
25.7	100
22.1	77
18.8	57
30.7	31
33.3	30
38.1	23
34.9	21
51.4	17
41.8	17
45.0	17

Structural model:
a b c (Å): 5.517 5.517 8.657
angles (deg): 115.67 115.67 63.83
Fractional positions:
Hf1 0.000 0.000 0.000
Hf2 0.000 0.000 0.500
Fe1 0.441 0.559 0.750
Fe2 0.559 0.441 0.250
F1 0.052 0.948 0.750
F2 0.171 0.314 0.650
F3 0.259 0.622 0.053
F4 0.314 0.171 0.150
F5 0.378 0.741 0.447
F6 0.622 0.259 0.553
F7 0.686 0.829 0.850
F8 0.741 0.378 0.947
F9 0.829 0.686 0.350
F10 0.948 0.052 0.250